For K2Fe3F10, a GGA+U-relaxed structure gives the theoretical powder diffraction line list in this record (copper Kα).
No peak broadening, texture or thermal motion is included.

Structure:
a = 18.9798 Å, b = 6.2660 Å, c = 7.9572 Å
α = 90.00°, β = 113.05°, γ = 90.00°
Space group C2/m (No. 12)
Inequivalent atoms, fractional coordinates:
K  0.1089  0.0000  0.2104
K  0.2116  0.0000  0.8367
Fe  0.0000  0.2438  0.5000
Fe  0.0786  0.5000  0.9685
Fe  0.1827  0.5000  0.5198
F  0.0000  0.3006  0.0000
F  0.0127  0.0000  0.6821
F  0.0236  0.5000  0.6989
F  0.1134  0.2720  0.5274
F  0.1343  0.5000  0.2504
F  0.1431  0.2733  0.9735
F  0.2392  0.5000  0.7703
F  0.2500  0.2500  0.5000

The 10 most intense peaks (2θ = 10–90°), sorted by position:
2θ = 15.02°, d = 5.898 Å, rel. 65; 2θ = 24.31°, d = 3.661 Å, rel. 74; 2θ = 26.91°, d = 3.313 Å, rel. 60; 2θ = 27.05°, d = 3.297 Å, rel. 75; 2θ = 27.17°, d = 3.282 Å, rel. 69; 2θ = 27.57°, d = 3.236 Å, rel. 72; 2θ = 28.21°, d = 3.163 Å, rel. 88; 2θ = 37.79°, d = 2.380 Å, rel. 51; 2θ = 40.53°, d = 2.226 Å, rel. 100; 2θ = 49.84°, d = 1.830 Å, rel. 46

***

For K5Fe3F12, a GGA+U-relaxed structure gives the theoretical powder diffraction line list in this record (copper Kα).
No peak broadening, texture or thermal motion is included.

Structure:
a = 10.6103 Å, b = 10.6103 Å, c = 3.3575 Å
α = 90.00°, β = 90.00°, γ = 120.00°
Space group P-62m (No. 189)
Inequivalent atoms, fractional coordinates:
K  0.0000  0.7174  0.0000
K  0.3333  0.6667  0.0000
Fe  0.0000  0.3391  0.5000
F  0.0000  0.2136  0.0000
F  0.0000  0.4625  0.0000
F  0.2149  0.4379  0.5000

The 10 most intense peaks (2θ = 10–90°), sorted by position:
2θ = 16.71°, d = 5.305 Å, rel. 100; 2θ = 19.32°, d = 4.594 Å, rel. 19; 2θ = 29.16°, d = 3.063 Å, rel. 88; 2θ = 31.53°, d = 2.837 Å, rel. 97; 2θ = 37.25°, d = 2.414 Å, rel. 74; 2θ = 43.48°, d = 2.081 Å, rel. 57; 2θ = 51.69°, d = 1.768 Å, rel. 26; 2θ = 53.21°, d = 1.722 Å, rel. 64; 2θ = 54.67°, d = 1.679 Å, rel. 21; 2θ = 63.17°, d = 1.472 Å, rel. 24

***

For K3FeF3, a GGA+U-relaxed structure gives the theoretical powder diffraction line list in this record (copper Kα).
No peak broadening, texture or thermal motion is included.

Structure:
a = 5.7541 Å, b = 6.2675 Å, c = 10.5299 Å
α = 78.27°, β = 79.41°, γ = 64.91°
Space group P1 (No. 1)
Inequivalent atoms, fractional coordinates:
K  0.0000  0.0000  0.0000
K  0.0530  0.2263  0.6544
K  0.1866  0.3458  0.2956
K  0.4252  0.6322  0.5059
K  0.6267  0.6543  0.1116
K  0.6905  0.8405  0.7304
Fe  0.3782  0.4212  0.8742
Fe  0.8146  0.9740  0.3718
F  0.1299  0.5388  0.0482
F  0.1703  0.7732  0.7758
F  0.4401  0.0627  0.9430
F  0.4565  0.0487  0.5051
F  0.6816  0.3441  0.3243
F  0.9393  0.6401  0.5033

The 10 most intense peaks (2θ = 10–90°), sorted by position:
2θ = 22.02°, d = 4.037 Å, rel. 24; 2θ = 27.72°, d = 3.218 Å, rel. 40; 2θ = 27.86°, d = 3.203 Å, rel. 49; 2θ = 28.61°, d = 3.120 Å, rel. 78; 2θ = 28.84°, d = 3.096 Å, rel. 67; 2θ = 29.70°, d = 3.008 Å, rel. 60; 2θ = 31.23°, d = 2.864 Å, rel. 100; 2θ = 38.66°, d = 2.329 Å, rel. 54; 2θ = 40.73°, d = 2.215 Å, rel. 38; 2θ = 44.91°, d = 2.018 Å, rel. 32

***

For KFe2F6, a GGA+U-relaxed structure gives the theoretical powder diffraction line list in this record (copper Kα).
No peak broadening, texture or thermal motion is included.

Structure:
a = 12.8331 Å, b = 12.8331 Å, c = 4.0296 Å
α = 90.00°, β = 90.00°, γ = 90.00°
Space group P4/m (No. 83)
Inequivalent atoms, fractional coordinates:
K  0.0000  0.0000  0.0000
K  0.1551  0.3103  0.0000
Fe  0.0000  0.5000  0.5000
Fe  0.0773  0.7841  0.5000
Fe  0.2950  0.5715  0.5000
F  0.0000  0.5000  0.0000
F  0.0123  0.3454  0.5000
F  0.0733  0.1441  0.5000
F  0.0828  0.7892  0.0000
F  0.1652  0.4968  0.5000
F  0.2320  0.7095  0.5000
F  0.2970  0.5738  0.0000
F  0.3622  0.4330  0.5000

The 10 most intense peaks (2θ = 10–90°), sorted by position:
2θ = 21.90°, d = 4.058 Å, rel. 68; 2θ = 22.06°, d = 4.030 Å, rel. 100; 2θ = 25.02°, d = 3.559 Å, rel. 88; 2θ = 27.04°, d = 3.298 Å, rel. 61; 2θ = 28.68°, d = 3.112 Å, rel. 95; 2θ = 31.28°, d = 2.859 Å, rel. 75; 2θ = 44.66°, d = 2.029 Å, rel. 40; 2θ = 44.99°, d = 2.015 Å, rel. 74; 2θ = 47.53°, d = 1.913 Å, rel. 36; 2θ = 50.30°, d = 1.814 Å, rel. 79

***

For KFe2F7, a GGA+U-relaxed structure gives the theoretical powder diffraction line list in this record (copper Kα).
No peak broadening, texture or thermal motion is included.

Structure:
a = 6.3746 Å, b = 10.5766 Å, c = 3.9351 Å
α = 90.00°, β = 90.00°, γ = 90.00°
Space group Cmmm (No. 65)
Inequivalent atoms, fractional coordinates:
K  0.0000  0.0000  0.0000
Fe  0.0000  0.3086  0.5000
F  0.0000  0.3014  0.0000
F  0.0000  0.5000  0.5000
F  0.1899  0.1460  0.5000

The 10 most intense peaks (2θ = 10–90°), sorted by position:
2θ = 16.76°, d = 5.288 Å, rel. 48; 2θ = 22.60°, d = 3.935 Å, rel. 70; 2θ = 27.97°, d = 3.190 Å, rel. 100; 2θ = 28.27°, d = 3.157 Å, rel. 39; 2θ = 28.94°, d = 3.085 Å, rel. 68; 2θ = 46.13°, d = 1.968 Å, rel. 42; 2θ = 49.49°, d = 1.842 Å, rel. 32; 2θ = 50.13°, d = 1.820 Å, rel. 37; 2θ = 51.07°, d = 1.788 Å, rel. 28; 2θ = 70.48°, d = 1.336 Å, rel. 22

***

For KFe3F9, a GGA+U-relaxed structure gives the theoretical powder diffraction line list in this record (copper Kα).
No peak broadening, texture or thermal motion is included.

Structure:
a = 5.8461 Å, b = 7.8377 Å, c = 8.2628 Å
α = 90.00°, β = 92.64°, γ = 90.00°
Space group P2_1/m (No. 11)
Inequivalent atoms, fractional coordinates:
K  0.0300  0.2500  0.4337
Fe  0.0000  0.0000  0.0000
Fe  0.4746  0.0023  0.6936
F  0.0555  0.2500  0.9945
F  0.1721  0.5327  0.8046
F  0.2835  0.5272  0.4812
F  0.2842  0.5298  0.1311
F  0.4080  0.2500  0.6850
F  0.4705  0.2500  0.3015

The 10 most intense peaks (2θ = 10–90°), sorted by position:
2θ = 18.20°, d = 4.875 Å, rel. 33; 2θ = 19.02°, d = 4.667 Å, rel. 69; 2θ = 22.69°, d = 3.919 Å, rel. 100; 2θ = 25.85°, d = 3.446 Å, rel. 97; 2θ = 27.03°, d = 3.299 Å, rel. 58; 2θ = 29.24°, d = 3.054 Å, rel. 29; 2θ = 29.77°, d = 3.001 Å, rel. 44; 2θ = 30.62°, d = 2.920 Å, rel. 31; 2θ = 44.18°, d = 2.050 Å, rel. 29; 2θ = 46.35°, d = 1.959 Å, rel. 75

***

For KLiFeF4, a GGA+U-relaxed structure gives the theoretical powder diffraction line list in this record (copper Kα).
No peak broadening, texture or thermal motion is included.

Structure:
a = 5.8580 Å, b = 5.5439 Å, c = 6.6139 Å
α = 90.00°, β = 104.07°, γ = 90.00°
Space group P2_1/m (No. 11)
Inequivalent atoms, fractional coordinates:
K  0.1309  0.2500  0.1056
Li  0.1505  0.7500  0.4804
Fe  0.3854  0.2500  0.6698
F  0.1371  0.0145  0.6946
F  0.2703  0.7500  0.1923
F  0.4992  0.7500  0.5931

The 10 most intense peaks (2θ = 10–90°), sorted by position:
2θ = 21.18°, d = 4.195 Å, rel. 43; 2θ = 22.41°, d = 3.968 Å, rel. 57; 2θ = 23.30°, d = 3.818 Å, rel. 61; 2θ = 24.29°, d = 3.665 Å, rel. 39; 2θ = 28.42°, d = 3.141 Å, rel. 100; 2θ = 32.27°, d = 2.774 Å, rel. 91; 2θ = 35.28°, d = 2.544 Å, rel. 43; 2θ = 37.30°, d = 2.411 Å, rel. 58; 2θ = 43.56°, d = 2.078 Å, rel. 41; 2θ = 50.40°, d = 1.811 Å, rel. 45

***

For K2FeMoF6, a GGA+U-relaxed structure gives the theoretical powder diffraction line list in this record (copper Kα).
No peak broadening, texture or thermal motion is included.

Structure:
a = 6.0060 Å, b = 6.1735 Å, c = 8.5379 Å
α = 90.00°, β = 90.00°, γ = 90.00°
Space group Immm (No. 71)
Inequivalent atoms, fractional coordinates:
K  0.0000  0.0000  0.2466
Fe  0.0000  0.5000  0.0000
Mo  0.0000  0.5000  0.5000
F  0.0000  0.5000  0.2370
F  0.2476  0.2572  0.0000

The 10 most intense peaks (2θ = 10–90°), sorted by position:
2θ = 20.63°, d = 4.305 Å, rel. 41; 2θ = 20.81°, d = 4.269 Å, rel. 20; 2θ = 28.93°, d = 3.087 Å, rel. 26; 2θ = 29.47°, d = 3.031 Å, rel. 100; 2θ = 29.75°, d = 3.003 Å, rel. 24; 2θ = 41.97°, d = 2.152 Å, rel. 57; 2θ = 42.34°, d = 2.134 Å, rel. 27; 2θ = 51.60°, d = 1.771 Å, rel. 19; 2θ = 52.62°, d = 1.739 Å, rel. 27; 2θ = 61.15°, d = 1.516 Å, rel. 32